Theoretical X-ray diffraction stick pattern of Cs2CrBr6O for copper Kα, from a GGA+U-relaxed structure.

Structural model:
abc: 7.8689 7.8689 7.8689
angles: 122.65 122.65 85.47
Element x y z (fractional)
Cs  0.2500  0.7500  0.5000
Cs  0.7500  0.2500  0.5000
Cr  0.0000  0.0000  0.0000
Br  0.2198  0.2198  0.0000
Br  0.2404  0.2404  0.4808
Br  0.2404  0.7596  0.0000
Br  0.7596  0.2404  0.0000
Br  0.7596  0.7596  0.5192
Br  0.7802  0.7802  0.0000
O  0.5000  0.5000  0.0000

Largest 8 diffraction maxima, in order of rising 2θ, 2θ = 10–90°:
d [Å]	2theta	Rel. int.
3.161	28.23	100
2.890	30.95	27
2.670	33.56	47
1.961	46.30	33
1.888	48.20	16
1.621	56.80	27
1.581	58.39	16
1.270	74.73	15